Calculated XRD peak list of DyFe4Ge2 for Cu Kα X-rays, from a DFT-relaxed cell (PBE, Alexandria).

Main lines, in order of rising 2θ (2θ = 15–90°):
Position (°2θ)  I_rel
30.4  31
33.7  58
35.0  43
38.6  100
40.4  39
46.1  25
47.0  25
47.2  38
47.6  37
60.4  18
63.8  20
69.3  23

Atomic structure:
```
DyFe4Ge2
1.0
1.912 -6.876 0.000
1.912 6.876 0.000
0.000 0.000 3.850
Dy Fe Ge
1 4 2
Cartesian
0.000 0.000 0.000
1.912 4.164 1.925
1.912 2.716 0.000
1.912 -2.716 0.000
1.912 -4.164 1.925
1.912 1.286 1.925
1.912 -1.286 1.925
```